No. 1
The following is a theoretical X-ray diffraction stick pattern of K2Sm2MgMo4O16. It was derived from DFT lattice parameters and positions (GGA+U), using Cu Ka.

Principal peaks in the range 10° ≤ 2θ ≤ 80°, by intensity:
| d [Å] | I (rel.) | index |
| --- | --- | --- |
| 3.514 | 100 | 0 2 0 |
| 3.440 | 95 | 0 0 2 |
| 3.006 | 93 | 2 0 2 |
| 3.320 | 80 | 2 0 0 |
| 3.686 | 67 | 1 2 1 |
| 7.028 | 63 | 0 1 0 |

Unit cell a=7.301 b=7.806 c=8.222 alpha=64.26 beta=65.48 gamma=78.21
Space group P1 (No. 1)
Asymmetric unit:
K 0.000 0.000 0.000 [1 per cell]
K 0.239 0.924 0.409 [1 per cell]
Sm 0.672 0.595 0.374 [1 per cell]
Sm 0.730 0.506 0.829 [1 per cell]
Mg 0.315 0.336 0.677 [1 per cell]
Mo 0.170 0.472 0.346 [1 per cell]
Mo 0.205 0.574 0.907 [1 per cell]
Mo 0.624 0.006 0.850 [1 per cell]
Mo 0.708 0.109 0.373 [1 per cell]
O 0.063 0.427 0.850 [1 per cell]
O 0.161 0.814 0.779 [1 per cell]
O 0.198 0.235 0.505 [1 per cell]
O 0.344 0.572 0.409 [1 per cell]
O 0.361 0.074 0.912 [1 per cell]
O 0.371 0.543 0.062 [1 per cell]
O 0.466 0.503 0.724 [1 per cell]
O 0.602 0.244 0.539 [1 per cell]
O 0.619 0.900 0.386 [1 per cell]
O 0.659 0.819 0.061 [1 per cell]
O 0.666 0.289 0.163 [1 per cell]
O 0.720 0.879 0.684 [1 per cell]
O 0.763 0.195 0.812 [1 per cell]
O 0.920 0.575 0.499 [1 per cell]
O 0.971 0.095 0.285 [1 per cell]
O 0.995 0.524 0.182 [1 per cell]



No. 2
The following is a theoretical X-ray diffraction stick pattern of K2MgZrMo4O16. It was derived from DFT lattice parameters and positions (GGA+U), using Cu Ka.

Principal peaks in the range 10° ≤ 2θ ≤ 80°, by intensity:
| d [Å] | I (rel.) | index |
| --- | --- | --- |
| 4.190 | 100 | 4 0 -2 |
| 2.941 | 42 | 0 2 0 |
| 2.985 | 29 | 3 1 1 |
| 1.863 | 20 | 7 1 -5 |
| 2.095 | 17 | 2 2 2 |
| 2.212 | 12 | 7 1 -1 |

Unit cell a=17.899 b=5.879 c=10.192 alpha=90.00 beta=124.59 gamma=90.00
Space group C2/m (No. 12)
Asymmetric unit:
K 0.242 0.000 0.251 [4 per cell]
Mg 0.000 0.000 0.000 [2 per cell]
Zr 0.000 0.500 0.500 [2 per cell]
Mo 0.123 0.500 0.285 [4 per cell]
Mo 0.126 0.000 0.797 [4 per cell]
O 0.085 0.248 0.165 [8 per cell]
O 0.085 0.500 0.421 [4 per cell]
O 0.087 0.000 0.923 [4 per cell]
O 0.087 0.255 0.671 [8 per cell]
O 0.243 0.500 0.402 [4 per cell]
O 0.245 0.000 0.918 [4 per cell]



No. 3
The following is a theoretical X-ray diffraction stick pattern of KPrMgWO6. It was derived from DFT lattice parameters and positions (GGA+U), using Cu Ka.

Principal peaks in the range 10° ≤ 2θ ≤ 80°, by intensity:
| d [Å] | I (rel.) | index |
| --- | --- | --- |
| 2.823 | 100 | 2 2 0 |
| 4.610 | 63 | 1 1 1 |
| 1.630 | 40 | 4 2 2 |
| 2.408 | 35 | 3 1 1 |
| 1.996 | 33 | 4 0 0 |
| 1.412 | 20 | 4 4 0 |

Unit cell a=7.986 b=7.986 c=7.986 alpha=90.00 beta=90.00 gamma=90.00
Space group F-43m (No. 216)
Asymmetric unit:
K 0.000 0.000 0.000 [4 per cell]
Pr 0.000 0.000 0.500 [4 per cell]
Mg 0.250 0.250 0.250 [4 per cell]
W 0.250 0.250 0.750 [4 per cell]
O 0.007 0.250 0.750 [24 per cell]



No. 4
The following is a theoretical X-ray diffraction stick pattern of K3MgScV2O8. It was derived from DFT lattice parameters and positions (GGA+U), using Cu Ka.

Principal peaks in the range 10° ≤ 2θ ≤ 80°, by intensity:
| d [Å] | I (rel.) | index |
| --- | --- | --- |
| 3.296 | 100 | 2 0 -2 |
| 3.025 | 98 | 3 1 0 |
| 2.160 | 91 | 2 2 2 |
| 2.972 | 89 | 0 2 0 |
| 3.144 | 59 | 2 0 2 |
| 8.124 | 55 | 0 0 1 |

Unit cell a=10.555 b=5.943 c=8.134 alpha=90.00 beta=92.79 gamma=90.00
Space group C2/m (No. 12)
Asymmetric unit:
K 0.000 0.000 0.000 [2 per cell]
K 0.204 0.500 0.257 [4 per cell]
Mg 0.000 0.500 0.500 [2 per cell]
Sc 0.000 0.000 0.500 [2 per cell]
V 0.195 0.500 0.743 [4 per cell]
O 0.097 0.269 0.628 [8 per cell]
O 0.143 0.000 0.313 [4 per cell]
O 0.168 0.500 0.949 [4 per cell]



No. 5
The following is a theoretical X-ray diffraction stick pattern of K4MgV4O10. It was derived from DFT lattice parameters and positions (GGA+U), using Cu Ka.

Principal peaks in the range 10° ≤ 2θ ≤ 80°, by intensity:
| d [Å] | I (rel.) | index |
| --- | --- | --- |
| 2.986 | 100 | 2 0 -1 |
| 2.690 | 90 | 1 1 -3 |
| 2.807 | 86 | 1 1 1 |
| 3.015 | 78 | 1 -1 2 |
| 5.055 | 74 | 1 -1 0 |
| 2.528 | 61 | 2 -2 0 |

Unit cell a=6.227 b=6.445 c=8.704 alpha=100.65 beta=106.82 gamma=106.44
Space group P1 (No. 1)
Asymmetric unit:
K 0.000 0.000 0.000 [1 per cell]
K 0.185 0.333 0.451 [1 per cell]
K 0.424 0.674 0.019 [1 per cell]
K 0.666 0.773 0.460 [1 per cell]
Mg 0.739 0.371 0.976 [1 per cell]
V 0.094 0.773 0.308 [1 per cell]
V 0.279 0.029 0.730 [1 per cell]
V 0.566 0.227 0.230 [1 per cell]
V 0.826 0.326 0.683 [1 per cell]
O 0.002 0.134 0.712 [1 per cell]
O 0.219 0.786 0.552 [1 per cell]
O 0.367 0.947 0.252 [1 per cell]
O 0.388 0.385 0.209 [1 per cell]
O 0.486 0.090 0.971 [1 per cell]
O 0.535 0.279 0.726 [1 per cell]
O 0.743 0.350 0.478 [1 per cell]
O 0.874 0.441 0.215 [1 per cell]
O 0.881 0.909 0.253 [1 per cell]
O 0.967 0.550 0.880 [1 per cell]